(1)
# Ce3NiGe4
Computed powder X-ray diffraction pattern, Cu Kα X-rays. Input: a PBE-relaxed structure.
No peak broadening, texture or thermal motion is included.

The 10 most intense peaks (15 to 90 degrees two-theta), most intense first:
Position (°2θ)	intensity
27.83	100.0
37.85	47.2
36.52	44.2
24.17	37.3
39.98	35.9
39.56	29.7
40.97	26.9
49.53	24.1
65.40	19.5
57.50	19.4

Structural model:
```
data_Ce3NiGe4
_space_group_name_H-M_alt 'I m m m'
_space_group_IT_number 71
_space_group_name_Hall '-I 2 2'
_cell_length_a 4.5103
_cell_length_b 6.0061
_cell_length_c 13.9845
_cell_angle_alpha 90.00
_cell_angle_beta 90.00
_cell_angle_gamma 90.00
loop_
_atom_site_label
_atom_site_type_symbol
_atom_site_fract_x
_atom_site_fract_y
_atom_site_fract_z
_atom_site_occupancy
Ce1 Ce 0.0000 0.0000 0.0000 1
Ce2 Ce 0.0000 0.5000 0.1897 1
Ni1 Ni 0.0000 0.0000 0.5000 1
Ge1 Ge 0.0000 0.2795 0.3814 1
```

(2)
# MnCoCuRe
Computed powder X-ray diffraction pattern, Cu Kα X-rays. Input: a PBE-relaxed structure.
No peak broadening, texture or thermal motion is included.

The 10 most intense peaks (15 to 90 degrees two-theta), most intense first:
Position (°2θ)	intensity
42.93	100.0
49.25	33.1
27.17	32.0
87.84	24.3
73.96	18.8
51.43	14.5
25.06	13.3
34.27	12.3
72.21	10.1
57.15	8.9

Structural model:
```
data_MnCoCuRe
_space_group_name_H-M_alt 'I -4 m 2'
_space_group_IT_number 119
_space_group_name_Hall 'I -4 -2'
_cell_length_a 3.7002
_cell_length_b 3.7002
_cell_length_c 7.1072
_cell_angle_alpha 90.00
_cell_angle_beta 90.00
_cell_angle_gamma 90.00
loop_
_atom_site_label
_atom_site_type_symbol
_atom_site_fract_x
_atom_site_fract_y
_atom_site_fract_z
_atom_site_occupancy
Mn1 Mn 0.0000 0.0000 0.0000 1
Co1 Co 0.0000 0.0000 0.5000 1
Cu1 Cu 0.0000 0.5000 0.7500 1
Re1 Re 0.0000 0.5000 0.2500 1
```

(3)
# Er8Sb2Pt
Computed powder X-ray diffraction pattern, Cu Kα X-rays. Input: a PBE-relaxed structure.
No peak broadening, texture or thermal motion is included.

The 10 most intense peaks (15 to 90 degrees two-theta), most intense first:
Position (°2θ)	intensity
31.40	100.0
31.13	38.8
39.17	34.3
34.56	26.4
30.37	18.7
50.32	17.4
33.13	14.3
66.17	11.9
58.24	10.9
40.28	9.9

Structural model:
```
data_Er8Sb2Pt
_space_group_name_H-M_alt 'C 1 2/m 1'
_space_group_IT_number 12
_cell_length_a 18.5132
_cell_length_b 4.5991
_cell_length_c 7.2856
_cell_angle_alpha 90.00
_cell_angle_beta 96.33
_cell_angle_gamma 90.00
loop_
_space_group_symop_operation_xyz
'x,y,z'
'-x,-y,-z'
'-x,y,-z'
'x,-y,z'
'x+1/2,y+1/2,z'
'-x+1/2,-y+1/2,-z'
'-x+1/2,y+1/2,-z'
'x+1/2,-y+1/2,z'
loop_
_atom_site_label
_atom_site_type_symbol
_atom_site_fract_x
_atom_site_fract_y
_atom_site_fract_z
_atom_site_occupancy
Er1 Er 0.0010 0.0000 0.2299 1
Er2 Er 0.0962 0.5000 0.5200 1
Er3 Er 0.1474 0.5000 0.0398 1
Er4 Er 0.2143 0.0000 0.3534 1
Sb1 Sb 0.1813 0.0000 0.7739 1
Pt1 Pt 0.0000 0.5000 0.0000 1
```

(4)
# Nd2HfS5
Computed powder X-ray diffraction pattern, Cu Kα X-rays. Input: a PBE-relaxed structure.
No peak broadening, texture or thermal motion is included.

The 10 most intense peaks (15 to 90 degrees two-theta), most intense first:
Position (°2θ)	intensity
25.96	100.0
26.48	77.2
36.55	62.7
27.06	58.7
46.85	57.9
24.10	45.8
53.00	38.8
38.27	38.2
45.35	29.3
33.93	26.0

Structural model:
```
data_Nd2HfS5
_space_group_name_H-M_alt 'P n m a'
_space_group_IT_number 62
_cell_length_a 11.6259
_cell_length_b 7.9989
_cell_length_c 7.3867
_cell_angle_alpha 90.00
_cell_angle_beta 90.00
_cell_angle_gamma 90.00
loop_
_space_group_symop_operation_xyz
'x,y,z'
'-x,-y,-z'
'-x+1/2,-y,z+1/2'
'x+1/2,y,-z+1/2'
'x+1/2,-y+1/2,-z+1/2'
'-x+1/2,y+1/2,z+1/2'
'-x,y+1/2,-z'
'x,-y+1/2,z'
loop_
_atom_site_label
_atom_site_type_symbol
_atom_site_fract_x
_atom_site_fract_y
_atom_site_fract_z
_atom_site_occupancy
Nd1 Nd 0.1759 0.0012 0.0364 1
Hf1 Hf 0.0075 0.7500 0.5735 1
S1 S 0.0050 0.7500 0.9414 1
S2 S 0.0842 0.0350 0.6655 1
S3 S 0.1838 0.7500 0.3448 1
S4 S 0.2054 0.2500 0.3236 1
```

(5)
# AlCrSi
Computed powder X-ray diffraction pattern, Cu Kα X-rays. Input: a PBE-relaxed structure.
No peak broadening, texture or thermal motion is included.

The 10 most intense peaks (15 to 90 degrees two-theta), most intense first:
Position (°2θ)	intensity
40.74	100.0
44.71	75.4
51.27	48.8
42.61	43.7
24.66	24.4
68.81	19.2
71.88	16.8
75.29	14.5
79.48	12.6
79.69	12.5

Structural model:
```
data_AlCrSi
_space_group_name_H-M_alt 'F d d 2'
_space_group_IT_number 43
_space_group_name_Hall 'F 2 -2d'
_cell_length_a 4.6139
_cell_length_b 8.4866
_cell_length_c 7.9319
_cell_angle_alpha 90.00
_cell_angle_beta 90.00
_cell_angle_gamma 90.00
loop_
_atom_site_label
_atom_site_type_symbol
_atom_site_fract_x
_atom_site_fract_y
_atom_site_fract_z
_atom_site_occupancy
Al1 Al 0.0000 0.0000 0.0000 1
Cr1 Cr 0.0000 0.0000 0.6657 1
Si1 Si 0.0000 0.0000 0.3389 1
```

(6)
# Zn3Ga5
Computed powder X-ray diffraction pattern, Cu Kα X-rays. Input: a PBE-relaxed structure.
No peak broadening, texture or thermal motion is included.

The 8 most intense peaks (15 to 90 degrees two-theta), most intense first:
Position (°2θ)	intensity
35.36	100.0
44.56	51.6
56.66	24.6
76.07	19.7
46.28	15.3
68.58	13.4
72.50	11.3
74.80	10.3

Structural model:
```
data_Zn3Ga5
_space_group_name_H-M_alt 'R -3 m'
_space_group_IT_number 166
_space_group_name_Hall '-R 3 2"'
_cell_length_a 6.4980
_cell_length_b 6.4980
_cell_length_c 11.7693
_cell_angle_alpha 90.00
_cell_angle_beta 90.00
_cell_angle_gamma 120.00
loop_
_atom_site_label
_atom_site_type_symbol
_atom_site_fract_x
_atom_site_fract_y
_atom_site_fract_z
_atom_site_occupancy
Zn1 Zn 0.0000 0.5000 0.0000 1
Ga1 Ga 0.0000 0.0000 0.0000 1
Ga2 Ga 0.0000 0.0000 0.5000 1
Ga3 Ga 0.0000 0.5000 0.5000 1
```